(1)
# PmCo2CuO8
Calculated X-ray powder pattern, CuKα. Input: a cell relaxed with GGA+U.

Structure:
```
data_PmCo2CuO8
_chemical_formula_sum 'Pm2 Co4 Cu2 O16'
_cell_length_a 6.9681
_cell_length_b 6.9681
_cell_length_c 6.3668
_cell_angle_alpha 90.00
_cell_angle_beta 90.00
_cell_angle_gamma 90.00
_symmetry_space_group_name_H-M 'I -4 m 2'
_symmetry_Int_Tables_number 119
_symmetry_space_group_name_Hall 'I -4 -2'
loop_
_atom_site_label
_atom_site_type_symbol
_atom_site_fract_x
_atom_site_fract_y
_atom_site_fract_z
_atom_site_occupancy
Pm1 Pm 0.0000 0.0000 0.0000 1
Co1 Co 0.0000 0.0000 0.5000 1
Co2 Co 0.0000 0.5000 0.2500 1
Cu1 Cu 0.0000 0.5000 0.7500 1
O1 O 0.0000 0.1908 0.6765 1
O2 O 0.0000 0.3274 0.0686 1
```

Top 10 peaks for 10° ≤ 2θ ≤ 90°, sorted by position:
| two_theta | I (rel.) |
| --- | --- |
| 18.88 | 19 |
| 25.57 | 100 |
| 33.51 | 69 |
| 36.47 | 19 |
| 50.36 | 58 |
| 52.53 | 15 |
| 59.31 | 12 |
| 63.76 | 17 |
| 64.35 | 12 |
| 75.75 | 12 |

(2)
# Sr2CoCuSO3
Calculated X-ray powder pattern, CuKα. Input: a cell relaxed with GGA+U.

Structure:
```
data_Sr2CoCuSO3
_chemical_formula_sum 'Sr4 Co2 Cu2 S2 O6'
_cell_length_a 3.8433
_cell_length_b 3.8433
_cell_length_c 15.7298
_cell_angle_alpha 90.00
_cell_angle_beta 90.00
_cell_angle_gamma 90.00
_symmetry_space_group_name_H-M 'P 4/n m m'
_symmetry_Int_Tables_number 129
loop_
_symmetry_equiv_pos_as_xyz
'x,y,z'
'-x,-y,-z'
'-y+1/2,x,z'
'y+1/2,-x,-z'
'-x+1/2,-y+1/2,z'
'x+1/2,y+1/2,-z'
'y,-x+1/2,z'
'-y,x+1/2,-z'
'x+1/2,-y,-z'
'-x+1/2,y,z'
'-y,-x,-z'
'y,x,z'
'-x,y+1/2,-z'
'x,-y+1/2,z'
'y+1/2,x+1/2,-z'
'-y+1/2,-x+1/2,z'
loop_
_atom_site_label
_atom_site_type_symbol
_atom_site_fract_x
_atom_site_fract_y
_atom_site_fract_z
_atom_site_occupancy
Sr1 Sr 0.2500 0.2500 0.0879 1
Sr2 Sr 0.2500 0.2500 0.3116 1
Co1 Co 0.2500 0.2500 0.8122 1
Cu1 Cu 0.2500 0.7500 0.5000 1
S1 S 0.2500 0.2500 0.5915 1
O1 O 0.2500 0.2500 0.9300 1
O2 O 0.2500 0.7500 0.2076 1
```

Top 10 peaks for 10° ≤ 2θ ≤ 90°, sorted by position:
| two_theta | I (rel.) |
| --- | --- |
| 32.58 | 100 |
| 32.96 | 32 |
| 33.46 | 23 |
| 37.27 | 18 |
| 40.34 | 27 |
| 41.70 | 19 |
| 47.30 | 48 |
| 57.89 | 23 |
| 58.63 | 43 |
| 78.57 | 19 |